# 1
Simulated X-ray diffraction stick pattern
Compound: Zr5W3
Radiation: Cu Kα (λ = 1.5418 Å)
Structure: the PBE geometry in Alexandria
Lines closer than 0.1° are merged.

Structure:
a = 12.1737 Å, b = 10.9847 Å, c = 5.4385 Å
α = 90.00°, β = 116.25°, γ = 90.00°
Space group C2/c (No. 15)
Inequivalent atoms, fractional coordinates:
1 Zr 0.0000 0.0071 0.2500 (multiplicity 4)
2 Zr 0.0760 0.2775 0.0720 (multiplicity 8)
3 Zr 0.2220 0.4230 0.7295 (multiplicity 8)
4 W 0.0000 0.4991 0.2500 (multiplicity 4)
5 W 0.1726 0.1711 0.6435 (multiplicity 8)

Peak list (8 most intense, 2θ from 10° to 90°, by angle)
24.44°, 3.642 Å, rel. 39, (2 2 -1)
36.63°, 2.453 Å, rel. 51, (2 4 0)
36.79°, 2.443 Å, rel. 65, (4 2 0)
36.88°, 2.437 Å, rel. 56, (2 2 -2)
37.01°, 2.429 Å, rel. 40, (4 0 -2)
37.61°, 2.392 Å, rel. 100, (2 4 -1)
37.70°, 2.386 Å, rel. 47, (3 1 1)
37.85°, 2.377 Å, rel. 54, (5 1 -1)



# 2
Simulated X-ray diffraction stick pattern
Compound: Na2InHg16
Radiation: Cu Kα (λ = 1.5418 Å)
Structure: the PBE geometry in Alexandria
Lines closer than 0.1° are merged.

Structure:
a = 9.7922 Å, b = 9.7922 Å, c = 18.8529 Å
α = 90.00°, β = 90.00°, γ = 120.00°
Space group R3m (No. 160, hexagonal axes)
Inequivalent atoms, fractional coordinates:
1 Na 0.0000 0.0000 0.0000 (multiplicity 3)
2 Na 0.0000 0.0000 0.3006 (multiplicity 3)
3 In 0.0000 0.0000 0.6808 (multiplicity 3)
4 Hg 0.0000 0.0000 0.5183 (multiplicity 3)
5 Hg 0.0014 0.3198 0.6189 (multiplicity 18)
6 Hg 0.1925 0.3851 0.0852 (multiplicity 9)
7 Hg 0.2110 0.4220 0.4718 (multiplicity 9)
8 Hg 0.2196 0.4392 0.8204 (multiplicity 9)

Peak list (8 most intense, 2θ from 10° to 90°, by angle)
23.02°, 3.864 Å, rel. 14, (2 0 2)
28.40°, 3.142 Å, rel. 19, (0 0 6)
31.65°, 2.827 Å, rel. 30, (3 0 0)
31.76°, 2.818 Å, rel. 20, (2 0 5)
33.89°, 2.645 Å, rel. 24, (1 1 6)
34.80°, 2.578 Å, rel. 100, (0 3 3)
39.50°, 2.281 Å, rel. 21, (2 2 3)
56.38°, 1.632 Å, rel. 19, (3 3 0)



# 3
Simulated X-ray diffraction stick pattern
Compound: TlCo2Se
Radiation: Cu Kα (λ = 1.5418 Å)
Structure: the PBE geometry in Alexandria
Lines closer than 0.1° are merged.

Structure:
a = 3.8820 Å, b = 3.8820 Å, c = 18.8888 Å
α = 90.00°, β = 90.00°, γ = 120.00°
Space group R3m (No. 160, hexagonal axes)
Inequivalent atoms, fractional coordinates:
1 Tl 0.0000 0.0000 0.0000 (multiplicity 3)
2 Co 0.0000 0.0000 0.4646 (multiplicity 3)
3 Co 0.0000 0.0000 0.7729 (multiplicity 3)
4 Se 0.0000 0.0000 0.1804 (multiplicity 3)

Peak list (8 most intense, 2θ from 10° to 90°, by angle)
26.94°, 3.310 Å, rel. 64, (1 0 1)
28.18°, 3.167 Å, rel. 36, (0 1 2)
28.35°, 3.148 Å, rel. 36, (0 0 6)
32.70°, 2.739 Å, rel. 100, (1 0 4)
35.75°, 2.511 Å, rel. 73, (0 1 5)
42.98°, 2.104 Å, rel. 28, (1 0 7)
46.80°, 1.941 Å, rel. 70, (1 1 0)
55.63°, 1.652 Å, rel. 33, (1 1 6)



# 4
Simulated X-ray diffraction stick pattern
Compound: CsTb2Cu3Se5
Radiation: Cu Kα (λ = 1.5418 Å)
Structure: the PBE geometry in Alexandria
Lines closer than 0.1° are merged.

Structure:
a = 4.1543 Å, b = 14.7368 Å, c = 17.5187 Å
α = 90.00°, β = 90.00°, γ = 90.00°
Space group Cmcm (No. 63)
Inequivalent atoms, fractional coordinates:
1 Cs 0.0000 0.0606 0.2500 (multiplicity 4)
2 Tb 0.0000 0.1921 0.5910 (multiplicity 8)
3 Cu 0.0000 0.3407 0.2500 (multiplicity 4)
4 Cu 0.0000 0.4150 0.5296 (multiplicity 8)
5 Se 0.0000 0.1673 0.0702 (multiplicity 8)
6 Se 0.0000 0.2377 0.7500 (multiplicity 4)
7 Se 0.0000 0.4399 0.1116 (multiplicity 8)

Peak list (8 most intense, 2θ from 10° to 90°, by angle)
28.15°, 3.170 Å, rel. 81, (1 3 0)
28.60°, 3.121 Å, rel. 100, (1 3 1)
29.96°, 2.983 Å, rel. 74, (1 3 2)
30.62°, 2.920 Å, rel. 88, (0 0 6)
34.93°, 2.569 Å, rel. 68, (1 3 4)
37.41°, 2.404 Å, rel. 53, (1 5 0)
43.57°, 2.077 Å, rel. 67, (2 0 0)
46.20°, 1.965 Å, rel. 71, (1 3 7)



# 5
Simulated X-ray diffraction stick pattern
Compound: AcB4Os4
Radiation: Cu Kα (λ = 1.5418 Å)
Structure: the PBE geometry in Alexandria
Lines closer than 0.1° are merged.

Structure:
a = 7.7590 Å, b = 7.7590 Å, c = 4.0017 Å
α = 90.00°, β = 90.00°, γ = 90.00°
Space group P4_2/n (No. 86, origin choice 2)
Inequivalent atoms, fractional coordinates:
1 Ac 0.2500 0.2500 0.2500 (multiplicity 2)
2 B 0.0313 0.5851 0.1430 (multiplicity 8)
3 Os 0.1051 0.8552 0.1433 (multiplicity 8)

Peak list (8 most intense, 2θ from 10° to 90°, by angle)
27.59°, 3.233 Å, rel. 15, (1 1 1)
34.20°, 2.622 Å, rel. 100, (1 2 1)
36.62°, 2.454 Å, rel. 62, (3 1 0)
39.84°, 2.263 Å, rel. 24, (2 2 1)
46.88°, 1.938 Å, rel. 30, (1 0 2)
48.00°, 1.895 Å, rel. 25, (3 2 1)
64.39°, 1.447 Å, rel. 16, (5 0 1)
68.42°, 1.371 Å, rel. 22, (4 4 0)



# 6
Simulated X-ray diffraction stick pattern
Compound: TcAg2F7
Radiation: Cu Kα (λ = 1.5418 Å)
Structure: the PBE geometry in Alexandria
Lines closer than 0.1° are merged.

Structure:
a = 13.0752 Å, b = 6.4605 Å, c = 9.1456 Å
α = 90.00°, β = 129.08°, γ = 90.00°
Space group C2/c (No. 15)
Inequivalent atoms, fractional coordinates:
1 Tc 0.0000 0.1290 0.2500 (multiplicity 4)
2 Ag 0.1924 0.4159 0.7809 (multiplicity 8)
3 F 0.0000 0.4352 0.2500 (multiplicity 4)
4 F 0.0931 0.1600 0.5202 (multiplicity 8)
5 F 0.1176 0.1159 0.8570 (multiplicity 8)
6 F 0.1539 0.2086 0.2687 (multiplicity 8)

Peak list (8 most intense, 2θ from 10° to 90°, by angle)
24.98°, 3.565 Å, rel. 61, (3 1 -1)
25.09°, 3.550 Å, rel. 99, (0 0 2)
26.09°, 3.416 Å, rel. 100, (3 1 -2)
29.81°, 2.997 Å, rel. 40, (3 1 0)
30.40°, 2.940 Å, rel. 72, (0 2 1)
42.28°, 2.138 Å, rel. 55, (6 0 -2)
47.26°, 1.923 Å, rel. 34, (3 3 -1)
47.64°, 1.909 Å, rel. 26, (0 2 3)



# 7
Simulated X-ray diffraction stick pattern
Compound: CaTiBi2O6
Radiation: Cu Kα (λ = 1.5418 Å)
Structure: the PBE geometry in Alexandria
Lines closer than 0.1° are merged.

Structure:
a = 5.8234 Å, b = 5.8234 Å, c = 14.7980 Å
α = 90.00°, β = 90.00°, γ = 120.00°
Space group R3 (No. 146, hexagonal axes)
Inequivalent atoms, fractional coordinates:
1 Ca 0.0000 0.0000 0.0000 (multiplicity 3)
2 Ti 0.0000 0.0000 0.4974 (multiplicity 3)
3 Bi 0.0000 0.0000 0.2858 (multiplicity 3)
4 Bi 0.0000 0.0000 0.7794 (multiplicity 3)
5 O 0.0095 0.4209 0.2216 (multiplicity 9)
6 O 0.0814 0.6926 0.0629 (multiplicity 9)

Peak list (8 most intense, 2θ from 10° to 90°, by angle)
21.32°, 4.167 Å, rel. 100, (0 1 2)
29.96°, 2.983 Å, rel. 92, (1 0 4)
30.71°, 2.912 Å, rel. 86, (1 1 0)
37.69°, 2.387 Å, rel. 31, (2 0 2)
43.43°, 2.084 Å, rel. 39, (0 2 4)
48.36°, 1.882 Å, rel. 42, (2 -1 6)
49.37°, 1.846 Å, rel. 24, (1 2 2)
54.13°, 1.694 Å, rel. 39, (3 -1 4)



# 8
Simulated X-ray diffraction stick pattern
Compound: Ac2Mo2AuN6
Radiation: Cu Kα (λ = 1.5418 Å)
Structure: the PBE geometry in Alexandria
Lines closer than 0.1° are merged.

Structure:
a = 5.7630 Å, b = 6.6921 Å, c = 6.8743 Å
α = 98.87°, β = 112.81°, γ = 105.60°
Space group P-1 (No. 2)
Inequivalent atoms, fractional coordinates:
1 Ac 0.1096 0.2993 0.2054 (multiplicity 2)
2 Mo 0.3857 0.2984 0.8464 (multiplicity 2)
3 Au 0.5000 0.0000 0.5000 (multiplicity 1)
4 N 0.2246 0.0786 0.9282 (multiplicity 2)
5 N 0.2431 0.5192 0.9149 (multiplicity 2)
6 N 0.4150 0.2727 0.5793 (multiplicity 2)

Peak list (8 most intense, 2θ from 10° to 90°, by angle)
17.27°, 5.135 Å, rel. 50, (1 0 -1)
23.38°, 3.804 Å, rel. 47, (0 1 1)
23.92°, 3.720 Å, rel. 37, (1 1 -1)
25.99°, 3.428 Å, rel. 100, (1 -1 1)
26.85°, 3.321 Å, rel. 61, (1 1 0)
28.03°, 3.183 Å, rel. 35, (1 -2 0)
31.42°, 2.847 Å, rel. 41, (-1 1 2)
34.95°, 2.567 Å, rel. 34, (0 2 -2)



What did the seventh record say?
Simulated X-ray diffraction stick pattern
Compound: CaTiBi2O6
Radiation: Cu Kα (λ = 1.5418 Å)
Structure: the PBE geometry in Alexandria
Lines closer than 0.1° are merged.

Structure:
a = 5.8234 Å, b = 5.8234 Å, c = 14.7980 Å
α = 90.00°, β = 90.00°, γ = 120.00°
Space group R3 (No. 146, hexagonal axes)
Inequivalent atoms, fractional coordinates:
1 Ca 0.0000 0.0000 0.0000 (multiplicity 3)
2 Ti 0.0000 0.0000 0.4974 (multiplicity 3)
3 Bi 0.0000 0.0000 0.2858 (multiplicity 3)
4 Bi 0.0000 0.0000 0.7794 (multiplicity 3)
5 O 0.0095 0.4209 0.2216 (multiplicity 9)
6 O 0.0814 0.6926 0.0629 (multiplicity 9)

Peak list (8 most intense, 2θ from 10° to 90°, by angle)
21.32°, 4.167 Å, rel. 100, (0 1 2)
29.96°, 2.983 Å, rel. 92, (1 0 4)
30.71°, 2.912 Å, rel. 86, (1 1 0)
37.69°, 2.387 Å, rel. 31, (2 0 2)
43.43°, 2.084 Å, rel. 39, (0 2 4)
48.36°, 1.882 Å, rel. 42, (2 -1 6)
49.37°, 1.846 Å, rel. 24, (1 2 2)
54.13°, 1.694 Å, rel. 39, (3 -1 4)